Diffraction record for Mg5Si9. The powder XRD pattern is simulated, not measured: it uses the GGA-PBE geometry in the Materials Project and Cu Kα (λ = 1.5418 Å).
Kinematic intensities with the Lorentz-polarization factor, no thermal factor.

Structure:
```
Mg5Si9
1.0
5.716 0.000 0.000
1.742 6.486 0.000
1.758 1.275 13.582
Mg Si
10 18
direct
0.000 0.000 0.000
0.008 0.901 0.588
0.246 0.267 0.104
0.333 0.451 0.280
0.348 0.514 0.496
0.448 0.128 0.658
0.489 0.594 0.719
0.794 0.665 0.133
0.867 0.790 0.821
0.887 0.402 0.521
0.063 0.491 0.680
0.095 0.896 0.219
0.151 0.257 0.832
0.221 0.594 0.945
0.327 0.667 0.098
0.329 0.116 0.437
0.372 0.897 0.846
0.434 0.987 0.275
0.538 0.959 0.992
0.540 0.822 0.542
0.570 0.307 0.898
0.650 0.656 0.347
0.734 0.160 0.171
0.759 0.124 0.427
0.831 0.215 0.736
0.880 0.420 0.972
0.892 0.338 0.283
0.979 0.770 0.391
```

Top 10 peaks for 2θ from 10° to 80°, in order of rising 2θ:
31.8°, rel. 40.3; 34.6°, rel. 38.0; 35.3°, rel. 62.1; 35.6°, rel. 91.5; 35.9°, rel. 35.9; 36.6°, rel. 100.0; 37.1°, rel. 55.7; 38.4°, rel. 44.5; 39.6°, rel. 48.1; 43.1°, rel. 42.8

=====

Diffraction record for Mg6NbV. The powder XRD pattern is simulated, not measured: it uses the GGA-PBE geometry in the Materials Project and Cu Kα (λ = 1.5418 Å).
Kinematic intensities with the Lorentz-polarization factor, no thermal factor.

Structure:
```
Mg6NbV
1.0
4.836 0.000 0.000
0.000 3.042 5.540
0.000 -3.042 5.540
Mg Nb V
6 1 1
direct
0.000 0.000 0.000
0.000 0.011 0.490
0.000 0.490 0.011
0.500 0.352 0.835
0.500 0.835 0.352
0.500 0.838 0.838
0.500 0.360 0.360
0.000 0.478 0.478
```

Top 10 peaks for 2θ from 10° to 80°, in order of rising 2θ:
16.0°, rel. 31.4; 16.6°, rel. 73.8; 33.6°, rel. 51.7; 33.9°, rel. 18.4; 37.2°, rel. 47.1; 37.4°, rel. 83.9; 38.6°, rel. 100.0; 51.0°, rel. 30.2; 67.9°, rel. 17.4; 73.7°, rel. 20.3

=====

Diffraction record for Ba3Te4O11. The powder XRD pattern is simulated, not measured: it uses the GGA-PBE geometry in the Materials Project and Cu Kα (λ = 1.5418 Å).
Kinematic intensities with the Lorentz-polarization factor, no thermal factor.

Structure:
```
Ba3Te4O11
1.0
8.151 0.000 0.000
-2.109 9.376 0.000
-3.742 -2.300 9.263
Ba Te O
6 8 22
direct
0.145 0.407 0.178
0.281 0.542 0.630
0.311 0.015 0.115
0.689 0.985 0.885
0.719 0.458 0.370
0.855 0.593 0.822
0.054 0.757 0.281
0.074 0.879 0.705
0.441 0.196 0.538
0.465 0.306 0.941
0.535 0.694 0.059
0.559 0.804 0.462
0.926 0.121 0.295
0.946 0.243 0.719
0.004 0.056 0.151
0.061 0.673 0.107
0.068 0.599 0.371
0.150 0.274 0.415
0.203 0.758 0.802
0.259 0.352 0.811
0.333 0.866 0.362
0.399 0.312 0.100
0.404 0.100 0.876
0.464 0.607 0.357
0.482 0.213 0.372
0.518 0.787 0.628
0.536 0.393 0.643
0.596 0.900 0.124
0.601 0.688 0.900
0.667 0.134 0.638
0.741 0.648 0.189
0.797 0.242 0.198
0.850 0.726 0.585
0.932 0.401 0.629
0.939 0.327 0.893
0.996 0.944 0.849
```

Top 10 peaks for 2θ from 10° to 80°, in order of rising 2θ:
26.3°, rel. 73.4; 26.6°, rel. 80.1; 26.7°, rel. 87.6; 26.9°, rel. 94.7; 27.4°, rel. 100.0; 28.7°, rel. 89.4; 39.4°, rel. 37.0; 39.8°, rel. 37.5; 46.6°, rel. 27.7; 48.2°, rel. 33.2

=====

Diffraction record for Nd2CuIr. The powder XRD pattern is simulated, not measured: it uses the GGA-PBE geometry in the Materials Project and Cu Kα (λ = 1.5418 Å).
Kinematic intensities with the Lorentz-polarization factor, no thermal factor.

Structure:
```
Nd2CuIr
1.0
0.000 3.556 3.556
3.556 0.000 3.556
3.556 3.556 0.000
Nd Cu Ir
2 1 1
direct
0.250 0.250 0.250
0.750 0.750 0.750
0.000 0.000 0.000
0.500 0.500 0.500
```

Top 9 peaks for 2θ from 10° to 80°, in order of rising 2θ:
21.6°, rel. 11.0; 35.7°, rel. 100.0; 42.1°, rel. 6.1; 51.4°, rel. 17.7; 56.4°, rel. 2.8; 64.2°, rel. 36.1; 68.6°, rel. 2.1; 75.6°, rel. 11.1; 79.8°, rel. 2.2

=====

What did the third record say?
Diffraction record for Ba3Te4O11. The powder XRD pattern is simulated, not measured: it uses the GGA-PBE geometry in the Materials Project and Cu Kα (λ = 1.5418 Å).
Kinematic intensities with the Lorentz-polarization factor, no thermal factor.

Structure:
```
Ba3Te4O11
1.0
8.151 0.000 0.000
-2.109 9.376 0.000
-3.742 -2.300 9.263
Ba Te O
6 8 22
direct
0.145 0.407 0.178
0.281 0.542 0.630
0.311 0.015 0.115
0.689 0.985 0.885
0.719 0.458 0.370
0.855 0.593 0.822
0.054 0.757 0.281
0.074 0.879 0.705
0.441 0.196 0.538
0.465 0.306 0.941
0.535 0.694 0.059
0.559 0.804 0.462
0.926 0.121 0.295
0.946 0.243 0.719
0.004 0.056 0.151
0.061 0.673 0.107
0.068 0.599 0.371
0.150 0.274 0.415
0.203 0.758 0.802
0.259 0.352 0.811
0.333 0.866 0.362
0.399 0.312 0.100
0.404 0.100 0.876
0.464 0.607 0.357
0.482 0.213 0.372
0.518 0.787 0.628
0.536 0.393 0.643
0.596 0.900 0.124
0.601 0.688 0.900
0.667 0.134 0.638
0.741 0.648 0.189
0.797 0.242 0.198
0.850 0.726 0.585
0.932 0.401 0.629
0.939 0.327 0.893
0.996 0.944 0.849
```

Top 10 peaks for 2θ from 10° to 80°, in order of rising 2θ:
26.3°, rel. 73.4; 26.6°, rel. 80.1; 26.7°, rel. 87.6; 26.9°, rel. 94.7; 27.4°, rel. 100.0; 28.7°, rel. 89.4; 39.4°, rel. 37.0; 39.8°, rel. 37.5; 46.6°, rel. 27.7; 48.2°, rel. 33.2

=====

Repeat the second record exactly.
Diffraction record for Mg6NbV. The powder XRD pattern is simulated, not measured: it uses the GGA-PBE geometry in the Materials Project and Cu Kα (λ = 1.5418 Å).
Kinematic intensities with the Lorentz-polarization factor, no thermal factor.

Structure:
```
Mg6NbV
1.0
4.836 0.000 0.000
0.000 3.042 5.540
0.000 -3.042 5.540
Mg Nb V
6 1 1
direct
0.000 0.000 0.000
0.000 0.011 0.490
0.000 0.490 0.011
0.500 0.352 0.835
0.500 0.835 0.352
0.500 0.838 0.838
0.500 0.360 0.360
0.000 0.478 0.478
```

Top 10 peaks for 2θ from 10° to 80°, in order of rising 2θ:
16.0°, rel. 31.4; 16.6°, rel. 73.8; 33.6°, rel. 51.7; 33.9°, rel. 18.4; 37.2°, rel. 47.1; 37.4°, rel. 83.9; 38.6°, rel. 100.0; 51.0°, rel. 30.2; 67.9°, rel. 17.4; 73.7°, rel. 20.3